# 1
This entry pairs a crystal structure of Na3AlF6 with its calculated X-ray powder pattern. Radiation: Cu Kα (weighted mean of Kα1 and Kα2). Structure: a structure optimized by DFT (GGA-PBE).
Lines closer than 0.1° are merged.

Atomic structure:
```
data_Na3AlF6
_chemical_formula_sum 'Na3 Al1 F6'
_cell_length_a 5.666
_cell_length_b 5.666
_cell_length_c 5.666
_cell_angle_alpha 60.00
_cell_angle_beta 60.00
_cell_angle_gamma 60.00
_symmetry_space_group_name_H-M 'P 1'
_symmetry_Int_Tables_number 1
_symmetry_space_group_name_Hall 'P 1'
loop_
_atom_site_label
_atom_site_type_symbol
_atom_site_fract_x
_atom_site_fract_y
_atom_site_fract_z
Na1 Na 0.000 0.000 0.000
Na2 Na 0.250 0.250 0.250
Na3 Na 0.750 0.750 0.750
Al1 Al 0.500 0.500 0.500
F1 F 0.273 0.273 0.727
F2 F 0.273 0.727 0.273
F3 F 0.273 0.727 0.727
F4 F 0.727 0.273 0.273
F5 F 0.727 0.273 0.727
F6 F 0.727 0.727 0.273
```

The 10 most intense peaks (2θ from 15° to 90°), by intensity:
2theta	d [Å]	I/Imax
45.27	2.003	1000
38.93	2.313	586
31.58	2.833	540
65.94	1.417	493
22.19	4.007	356
56.24	1.636	181
19.18	4.626	145
83.60	1.157	136
74.96	1.267	116
79.31	1.208	85

***

# 2
This entry pairs a crystal structure of TaMo2W2Se10 with its calculated X-ray powder pattern. Radiation: Cu Kα (weighted mean of Kα1 and Kα2). Structure: a structure optimized by DFT (GGA-PBE).
Lines closer than 0.1° are merged.

Atomic structure:
```
data_TaMo2W2Se10
_chemical_formula_sum 'Ta2 Mo4 W4 Se20'
_cell_length_a 3.357
_cell_length_b 3.357
_cell_length_c 67.370
_cell_angle_alpha 90.00
_cell_angle_beta 90.00
_cell_angle_gamma 120.00
_symmetry_space_group_name_H-M 'P 1'
_symmetry_Int_Tables_number 1
_symmetry_space_group_name_Hall 'P 1'
loop_
_atom_site_label
_atom_site_type_symbol
_atom_site_fract_x
_atom_site_fract_y
_atom_site_fract_z
Ta1 Ta 0.000 0.000 0.000
Ta2 Ta 0.000 0.000 0.200
Mo1 Mo 0.000 0.000 0.400
Mo2 Mo 0.000 0.000 0.600
Mo3 Mo 0.000 0.000 0.800
Mo4 Mo 0.667 0.333 0.900
W1 W 0.667 0.333 0.100
W2 W 0.667 0.333 0.300
W3 W 0.667 0.333 0.500
W4 W 0.667 0.333 0.700
Se1 Se 0.000 0.000 0.075
Se2 Se 0.000 0.000 0.125
Se3 Se 0.000 0.000 0.275
Se4 Se 0.000 0.000 0.325
Se5 Se 0.000 0.000 0.475
Se6 Se 0.000 0.000 0.525
Se7 Se 0.000 0.000 0.675
Se8 Se 0.000 0.000 0.725
Se9 Se 0.000 0.000 0.875
Se10 Se 0.000 0.000 0.925
Se11 Se 0.667 0.333 0.026
Se12 Se 0.667 0.333 0.174
Se13 Se 0.667 0.333 0.226
Se14 Se 0.667 0.333 0.375
Se15 Se 0.667 0.333 0.425
Se16 Se 0.667 0.333 0.575
Se17 Se 0.667 0.333 0.625
Se18 Se 0.667 0.333 0.775
Se19 Se 0.667 0.333 0.825
Se20 Se 0.667 0.333 0.974
```

The 10 most intense peaks (2θ from 15° to 90°), by intensity:
2theta	d [Å]	I/Imax
36.83	2.441	1000
45.92	1.976	545
30.75	2.907	393
54.68	1.679	297
80.85	1.189	191
67.76	1.383	166
33.57	2.669	145
74.11	1.279	133
56.50	1.629	127
54.48	1.684	99

***

# 3
This entry pairs a crystal structure of UGeO2 with its calculated X-ray powder pattern. Radiation: Cu Kα (weighted mean of Kα1 and Kα2). Structure: a structure optimized by DFT (GGA-PBE).
Lines closer than 0.1° are merged.

Atomic structure:
```
data_UGeO2
_chemical_formula_sum 'U4 Ge4 O8'
_cell_length_a 7.256
_cell_length_b 7.256
_cell_length_c 7.256
_cell_angle_alpha 121.21
_cell_angle_beta 121.21
_cell_angle_gamma 87.92
_symmetry_space_group_name_H-M 'P 1'
_symmetry_Int_Tables_number 1
_symmetry_space_group_name_Hall 'P 1'
loop_
_atom_site_label
_atom_site_type_symbol
_atom_site_fract_x
_atom_site_fract_y
_atom_site_fract_z
U1 U 0.000 0.000 0.000
U2 U 0.500 0.000 0.000
U3 U 0.500 0.000 0.500
U4 U 0.500 0.500 0.500
Ge1 Ge 0.000 0.000 0.500
Ge2 Ge 0.000 0.500 0.000
Ge3 Ge 0.000 0.500 0.500
Ge4 Ge 0.500 0.500 0.000
O1 O 0.264 0.848 0.030
O2 O 0.266 0.236 0.084
O3 O 0.318 0.234 0.470
O4 O 0.348 0.818 0.584
O5 O 0.652 0.182 0.416
O6 O 0.682 0.766 0.530
O7 O 0.734 0.764 0.916
O8 O 0.736 0.152 0.970
```

The 10 most intense peaks (2θ from 15° to 90°), by intensity:
2theta	d [Å]	I/Imax
30.38	2.942	1000
15.05	5.885	496
35.65	2.518	457
60.80	1.523	326
50.34	1.813	320
34.34	2.611	243
59.06	1.564	187
63.20	1.471	160
82.00	1.175	154
51.31	1.781	154

***

# 4
This entry pairs a crystal structure of FeCu2Sn3S8 with its calculated X-ray powder pattern. Radiation: Cu Kα (weighted mean of Kα1 and Kα2). Structure: a structure optimized by DFT (GGA-PBE).
Lines closer than 0.1° are merged.

Atomic structure:
```
data_FeCu2Sn3S8
_chemical_formula_sum 'Fe1 Cu2 Sn3 S8'
_cell_length_a 7.324
_cell_length_b 7.324
_cell_length_c 7.324
_cell_angle_alpha 59.84
_cell_angle_beta 59.84
_cell_angle_gamma 59.84
_symmetry_space_group_name_H-M 'P 1'
_symmetry_Int_Tables_number 1
_symmetry_space_group_name_Hall 'P 1'
loop_
_atom_site_label
_atom_site_type_symbol
_atom_site_fract_x
_atom_site_fract_y
_atom_site_fract_z
Fe1 Fe 0.000 0.000 0.000
Cu1 Cu 0.379 0.379 0.379
Cu2 Cu 0.621 0.621 0.621
Sn1 Sn 0.000 0.000 0.500
Sn2 Sn 0.000 0.500 0.000
Sn3 Sn 0.500 0.000 0.000
S1 S 0.226 0.773 0.773
S2 S 0.227 0.227 0.774
S3 S 0.227 0.774 0.227
S4 S 0.251 0.251 0.251
S5 S 0.749 0.749 0.749
S6 S 0.773 0.226 0.773
S7 S 0.773 0.773 0.226
S8 S 0.774 0.227 0.227
```

The 10 most intense peaks (2θ from 15° to 90°), by intensity:
2theta	d [Å]	I/Imax
28.63	3.118	1000
34.69	2.586	450
49.80	1.831	344
49.93	1.826	343
45.58	1.990	279
24.32	3.660	173
69.82	1.347	144
45.49	1.994	140
58.57	1.576	112
73.19	1.293	103

***

# 5
This entry pairs a crystal structure of LaCuO2F with its calculated X-ray powder pattern. Radiation: Cu Kα (weighted mean of Kα1 and Kα2). Structure: a structure optimized by DFT (GGA-PBE).
Lines closer than 0.1° are merged.

Atomic structure:
```
data_LaCuO2F
_chemical_formula_sum 'La2 Cu2 O4 F2'
_cell_length_a 5.627
_cell_length_b 5.627
_cell_length_c 5.627
_cell_angle_alpha 120.43
_cell_angle_beta 120.43
_cell_angle_gamma 89.26
_symmetry_space_group_name_H-M 'P 1'
_symmetry_Int_Tables_number 1
_symmetry_space_group_name_Hall 'P 1'
loop_
_atom_site_label
_atom_site_type_symbol
_atom_site_fract_x
_atom_site_fract_y
_atom_site_fract_z
La1 La 0.250 0.750 0.500
La2 La 0.750 0.250 0.500
Cu1 Cu 0.000 0.000 0.000
Cu2 Cu 0.500 0.500 0.000
O1 O 0.189 0.689 0.878
O2 O 0.311 0.189 0.500
O3 O 0.689 0.811 0.500
O4 O 0.811 0.311 0.122
F1 F 0.250 0.250 0.000
F2 F 0.750 0.750 0.000
```

The 10 most intense peaks (2θ from 15° to 90°), by intensity:
2theta	d [Å]	I/Imax
31.81	2.813	1000
32.02	2.795	609
56.94	1.617	443
45.91	1.977	314
56.54	1.628	237
39.31	2.292	206
66.47	1.407	192
45.29	2.002	184
76.15	1.250	112
22.49	3.953	95

***

# 6
This entry pairs a crystal structure of Li5Mg with its calculated X-ray powder pattern. Radiation: Cu Kα (weighted mean of Kα1 and Kα2). Structure: a structure optimized by DFT (GGA-PBE).
Lines closer than 0.1° are merged.

Atomic structure:
```
data_Li5Mg
_chemical_formula_sum 'Li5 Mg1'
_cell_length_a 5.853
_cell_length_b 5.853
_cell_length_c 5.853
_cell_angle_alpha 53.54
_cell_angle_beta 53.54
_cell_angle_gamma 53.54
_symmetry_space_group_name_H-M 'P 1'
_symmetry_Int_Tables_number 1
_symmetry_space_group_name_Hall 'P 1'
loop_
_atom_site_label
_atom_site_type_symbol
_atom_site_fract_x
_atom_site_fract_y
_atom_site_fract_z
Li1 Li 0.000 0.667 0.333
Li2 Li 0.167 0.167 0.167
Li3 Li 0.333 0.000 0.667
Li4 Li 0.667 0.333 0.000
Li5 Li 0.833 0.833 0.833
Mg1 Mg 0.500 0.500 0.500
```

The 10 most intense peaks (2θ from 15° to 90°), by intensity:
2theta	d [Å]	I/Imax
38.61	2.332	1000
20.33	4.368	556
22.80	3.900	422
34.01	2.636	336
50.29	1.814	261
35.93	2.500	259
17.74	4.999	258
66.37	1.409	194
30.86	2.898	193
72.74	1.300	182

***

# 7
This entry pairs a crystal structure of Pr6Ge3Se14 with its calculated X-ray powder pattern. Radiation: Cu Kα (weighted mean of Kα1 and Kα2). Structure: a structure optimized by DFT (GGA-PBE).
Lines closer than 0.1° are merged.

Atomic structure:
```
data_Pr6Ge3Se14
_chemical_formula_sum 'Pr6 Ge3 Se14'
_cell_length_a 10.777
_cell_length_b 10.777
_cell_length_c 6.129
_cell_angle_alpha 90.00
_cell_angle_beta 90.00
_cell_angle_gamma 120.00
_symmetry_space_group_name_H-M 'P 1'
_symmetry_Int_Tables_number 1
_symmetry_space_group_name_Hall 'P 1'
loop_
_atom_site_label
_atom_site_type_symbol
_atom_site_fract_x
_atom_site_fract_y
_atom_site_fract_z
Pr1 Pr 0.024 0.560 0.000
Pr2 Pr 0.309 0.107 0.501
Pr3 Pr 0.440 0.464 0.000
Pr4 Pr 0.536 0.976 0.000
Pr5 Pr 0.797 0.691 0.501
Pr6 Pr 0.893 0.203 0.501
Ge1 Ge 0.000 0.000 0.920
Ge2 Ge 0.333 0.667 0.418
Ge3 Ge 0.667 0.333 0.265
Se1 Se 0.000 0.000 0.303
Se2 Se 0.084 0.851 0.760
Se3 Se 0.149 0.233 0.760
Se4 Se 0.185 0.434 0.258
Se5 Se 0.249 0.815 0.258
Se6 Se 0.333 0.667 0.801
Se7 Se 0.411 0.173 0.024
Se8 Se 0.504 0.426 0.515
Se9 Se 0.566 0.751 0.258
Se10 Se 0.574 0.078 0.515
Se11 Se 0.761 0.589 0.024
Se12 Se 0.767 0.916 0.760
Se13 Se 0.827 0.239 0.024
Se14 Se 0.922 0.496 0.515
```

The 10 most intense peaks (2θ from 15° to 90°), by intensity:
2theta	d [Å]	I/Imax
35.03	2.562	1000
29.20	3.059	955
33.25	2.694	885
34.65	2.588	837
32.27	2.774	718
23.97	3.713	642
37.73	2.385	578
38.93	2.313	501
33.64	2.664	438
44.82	2.022	413